This entry pairs a crystal structure of Li2PaOsN4 with its theoretical powder X-ray diffraction pattern. Radiation: Cu Ka. Structure: a structure optimized by DFT (GGA-PBE).
Lines closer than 0.1° are merged.

Largest 8 diffraction maxima, low angle first, 5° ≤ 2θ ≤ 70°:
18.80 deg, I 100.0; 27.85 deg, I 29.9; 31.71 deg, I 47.2; 33.82 deg, I 36.7; 36.60 deg, I 57.1; 41.92 deg, I 28.4; 45.88 deg, I 26.4; 65.03 deg, I 25.7

Structural model:
Cell lengths 6.1431, 6.1431, 9.4420 Å; angles 90.00, 90.00, 148.57 degrees
Fractional coordinates of all 16 atoms:
1 Li 0.0937 0.9063 0.5386
2 Li 0.0937 0.9063 0.9614
3 Li 0.9063 0.0937 0.0386
4 Li 0.9063 0.0937 0.4614
5 Pa 0.4424 0.5576 0.7500
6 Pa 0.5576 0.4424 0.2500
7 Os 0.2956 0.7044 0.2500
8 Os 0.7044 0.2956 0.7500
9 N 0.1026 0.8974 0.7500
10 N 0.1876 0.8124 0.1166
11 N 0.1876 0.8124 0.3834
12 N 0.5000 0.5000 0.0000
13 N 0.5000 0.5000 0.5000
14 N 0.8124 0.1876 0.6166
15 N 0.8124 0.1876 0.8834
16 N 0.8974 0.1026 0.2500


This entry pairs a crystal structure of V3CrRu with its theoretical powder X-ray diffraction pattern. Radiation: Cu Ka. Structure: a structure optimized by DFT (GGA-PBE).
Lines closer than 0.1° are merged.

Largest 8 diffraction maxima, low angle first, 5° ≤ 2θ ≤ 70°:
29.56 deg, I 17.6; 38.50 deg, I 12.9; 39.02 deg, I 28.1; 43.40 deg, I 100.0; 43.53 deg, I 54.7; 45.37 deg, I 27.8; 47.08 deg, I 13.1; 59.78 deg, I 14.8

Structural model:
Cell lengths 4.1682, 4.6169, 7.3331 Å; angles 90.00, 106.26, 90.00 degrees
Fractional coordinates of all 10 atoms:
1 V 0.0000 0.0000 0.0000
2 V 0.0000 0.5000 0.0000
3 V 0.2353 0.2500 0.4713
4 V 0.4389 0.2500 0.8776
5 V 0.5611 0.7500 0.1224
6 V 0.7647 0.7500 0.5287
7 Cr 0.1611 0.7500 0.3200
8 Cr 0.8389 0.2500 0.6800
9 Ru 0.3590 0.7500 0.7203
10 Ru 0.6410 0.2500 0.2797